(1)
The following is a simulated powder diffractogram of MgBi2Sb2O8. It was derived from a GGA-PBE-relaxed structure, using Cu Kα (λ = 1.5418 Å).
No peak broadening, texture or thermal motion is included.

a = 5.9254 Å, b = 6.0448 Å, c = 6.7573 Å
α = 110.25°, β = 96.69°, γ = 94.80°
Space group P1 (No. 1)
Unique sites:
Mg (0.0000, 0.0000, 0.0000)
Bi (0.2966, 0.2833, 0.4669)
Bi (0.7611, 0.9339, 0.4684)
Sb (0.0273, 0.4881, 0.9688)
Sb (0.4982, 0.0440, 0.9375)
O (0.0473, 0.9847, 0.2889)
O (0.2257, 0.8058, 0.8417)
O (0.2635, 0.2889, 0.0586)
O (0.4847, 0.1165, 0.6618)
O (0.5339, 0.0598, 0.2539)
O (0.7121, 0.8171, 0.8207)
O (0.7921, 0.2868, 0.0551)
O (0.9856, 0.2671, 0.6649)

The 10 most intense peaks (15 to 90 degrees two-theta), in order of rising 2θ:
- (0 1 0), d 5.621, intensity 66
- (1 -1 1), d 3.877, intensity 96
- (1 1 0), d 3.802, intensity 100
- (-1 1 1), d 3.327, intensity 57
- (0 0 2), d 3.131, intensity 72
- (1 1 -2), d 2.971, intensity 50
- (2 0 -1), d 2.816, intensity 60
- (1 -2 1), d 2.743, intensity 33
- (2 0 1), d 2.499, intensity 34
- (1 1 2), d 2.090, intensity 24

=====

(2)
The following is a simulated powder diffractogram of Hg12Se6O25. It was derived from a GGA-PBE-relaxed structure, using Cu Kα (λ = 1.5418 Å).
No peak broadening, texture or thermal motion is included.

a = 15.6790 Å, b = 15.6790 Å, c = 10.3937 Å
α = 90.00°, β = 90.00°, γ = 120.00°
Space group R-3 (No. 148, hexagonal axes)
Unique sites:
Hg (0.0321, 0.2811, 0.2949)
Hg (0.0731, 0.5609, 0.6721)
Se (0.0094, 0.1487, 0.6516)
O (0.0000, 0.0000, 0.0000)
O (0.0309, 0.2748, 0.0514)
O (0.0327, 0.2382, 0.5395)
O (0.0863, 0.8483, 0.2621)
O (0.1024, 0.8940, 0.7559)

The 10 most intense peaks (15 to 90 degrees two-theta), in order of rising 2θ:
- (2 1 1), d 4.602, intensity 12
- (0 0 3), d 3.465, intensity 40
- (2 -1 3), d 3.169, intensity 14
- (3 2 1), d 2.984, intensity 100
- (5 -3 2), d 2.672, intensity 55
- (3 2 4), d 1.995, intensity 25
- (1 7 0), d 1.799, intensity 26
- (8 -1 3), d 1.596, intensity 26
- (10 -6 1), d 1.540, intensity 12
- (12 -11 2), d 1.148, intensity 12

=====

(3)
The following is a simulated powder diffractogram of U2TeO2. It was derived from a GGA-PBE-relaxed structure, using Cu Kα (λ = 1.5418 Å).
No peak broadening, texture or thermal motion is included.

a = 3.9408 Å, b = 3.9408 Å, c = 12.3734 Å
α = 90.00°, β = 90.00°, γ = 90.00°
Space group I4/mmm (No. 139)
Unique sites:
U (0.0000, 0.0000, 0.1505)
Te (0.0000, 0.0000, 0.5000)
O (0.0000, 0.5000, 0.2500)

The 10 most intense peaks (15 to 90 degrees two-theta), in order of rising 2θ:
- (1 0 1), d 3.755, intensity 12
- (1 0 3), d 2.849, intensity 100
- (1 1 0), d 2.787, intensity 45
- (1 1 4), d 2.070, intensity 10
- (2 0 0), d 1.970, intensity 21
- (1 1 6), d 1.658, intensity 18
- (2 1 3), d 1.621, intensity 38
- (2 0 6), d 1.425, intensity 9
- (3 0 3), d 1.252, intensity 8
- (3 1 0), d 1.246, intensity 8

=====

(4)
The following is a simulated powder diffractogram of Tl4Br3Cl. It was derived from a GGA-PBE-relaxed structure, using Cu Kα (λ = 1.5418 Å).
No peak broadening, texture or thermal motion is included.

a = 4.0161 Å, b = 4.0161 Å, c = 16.0955 Å
α = 90.00°, β = 90.00°, γ = 90.00°
Space group P4/mmm (No. 123)
Unique sites:
Tl (0.0000, 0.0000, 0.1216)
Tl (0.0000, 0.0000, 0.3749)
Br (0.5000, 0.5000, 0.2492)
Br (0.5000, 0.5000, 0.5000)
Cl (0.5000, 0.5000, 0.0000)

The 10 most intense peaks (15 to 90 degrees two-theta), in order of rising 2θ:
- (1 0 0), d 4.019, intensity 26
- (1 1 0), d 2.842, intensity 100
- (1 1 4), d 2.320, intensity 9
- (2 0 0), d 2.009, intensity 19
- (2 1 0), d 1.797, intensity 13
- (2 1 4), d 1.641, intensity 39
- (2 2 0), d 1.421, intensity 12
- (1 0 12), d 1.272, intensity 6
- (3 1 0), d 1.270, intensity 11
- (2 2 8), d 1.160, intensity 4

=====

(5)
The following is a simulated powder diffractogram of LiZn2Au. It was derived from a GGA-PBE-relaxed structure, using Cu Kα (λ = 1.5418 Å).
No peak broadening, texture or thermal motion is included.

a = 6.2626 Å, b = 6.2626 Å, c = 6.2626 Å
α = 90.00°, β = 90.00°, γ = 90.00°
Space group Fm-3m (No. 225)
Unique sites:
Li (0.0000, 0.0000, 0.0000)
Zn (0.2500, 0.2500, 0.2500)
Au (0.0000, 0.0000, 0.5000)

The 10 most intense peaks (15 to 90 degrees two-theta), in order of rising 2θ:
- (1 1 1), d 3.616, intensity 76
- (2 0 0), d 3.131, intensity 4
- (2 2 0), d 2.214, intensity 100
- (3 1 1), d 1.888, intensity 39
- (4 0 0), d 1.566, intensity 17
- (3 3 1), d 1.437, intensity 16
- (4 2 0), d 1.400, intensity 2
- (4 2 2), d 1.278, intensity 33
- (5 1 1), d 1.205, intensity 12
- (4 4 0), d 1.107, intensity 11

=====

(6)
The following is a simulated powder diffractogram of Ba10Ga. It was derived from a GGA-PBE-relaxed structure, using Cu Kα (λ = 1.5418 Å).
No peak broadening, texture or thermal motion is included.

a = 21.8312 Å, b = 21.8312 Å, c = 21.8312 Å
α = 90.00°, β = 90.00°, γ = 90.00°
Space group Fd-3m (No. 227, origin choice 2)
Unique sites:
Ba (0.0000, 0.0000, 0.0000)
Ba (0.0069, 0.3750, 0.8750)
Ba (0.0562, 0.0562, 0.3331)
Ga (0.0000, 0.0000, 0.5000)

The 10 most intense peaks (15 to 90 degrees two-theta), in order of rising 2θ:
- (5 3 1), d 3.690, intensity 100
- (5 3 3), d 3.329, intensity 60
- (6 2 2), d 3.291, intensity 83
- (4 4 4), d 3.151, intensity 39
- (7 1 1), d 3.057, intensity 69
- (6 4 2), d 2.917, intensity 25
- (6 6 0), d 2.573, intensity 36
- (8 8 0), d 1.930, intensity 49
- (10 4 4), d 1.900, intensity 25
- (11 3 3), d 1.852, intensity 31